Record 1
Computed powder X-ray diffraction pattern
Compound: In3Hg5Bi2
Radiation: Cu Kα (weighted mean of Kα1 and Kα2)
Structure: a GGA-PBE-relaxed structure

Cell and atoms:
```
In3Hg5Bi2
1.0
5.6118 0.0000 0.0000
2.7166 9.9744 0.0000
1.3289 4.9722 10.3483
In Hg Bi
6 10 4
direct
0.1364 0.2031 0.2929
0.2502 0.9534 0.0929
0.3624 0.5029 0.2934
0.6376 0.4971 0.7066
0.7498 0.0466 0.9071
0.8636 0.7969 0.7071
0.0278 0.2887 0.9096
0.0934 0.0549 0.6876
0.2506 0.5467 0.9060
0.4072 0.2589 0.6869
0.4724 0.8019 0.9093
0.5276 0.1981 0.0907
0.5928 0.7411 0.3131
0.7494 0.4533 0.0940
0.9066 0.9451 0.3124
0.9722 0.7113 0.0904
0.1166 0.6040 0.5381
0.3827 0.8585 0.5385
0.6173 0.1415 0.4615
0.8834 0.3960 0.4619
```

Main lines, by intensity (10 to 90 degrees two-theta):
2θ (°)	I (rel.)	h k l
29.94	100.0	1 -1 2
30.50	41.9	1 3 3
34.39	37.6	2 2 0
37.09	30.0	0 4 1
41.95	19.6	-2 2 1
43.74	13.9	0 0 5

***

Record 2
Computed powder X-ray diffraction pattern
Compound: Tb3Sm2Tm3
Radiation: Cu Kα (weighted mean of Kα1 and Kα2)
Structure: a GGA-PBE-relaxed structure

Cell and atoms:
```
Tb3Sm2Tm3
1.0
16.7710 0.0000 0.0000
0.0000 3.6445 0.0000
0.0000 0.0000 8.3903
Tb Sm Tm
6 4 6
direct
0.0195 0.0000 0.2107
0.2500 0.0000 0.2588
0.4805 0.0000 0.2107
0.5195 0.0000 0.7893
0.7500 0.0000 0.7412
0.9805 0.0000 0.7893
0.1452 0.5000 0.9448
0.3548 0.5000 0.9448
0.6452 0.5000 0.0552
0.8548 0.5000 0.0552
0.1019 0.5000 0.5129
0.2500 0.0000 0.6641
0.3981 0.5000 0.5129
0.6019 0.5000 0.4871
0.7500 0.0000 0.3359
0.8981 0.5000 0.4871
```

Main lines, by intensity (10 to 90 degrees two-theta):
2θ (°)	I (rel.)	h k l
32.54	100.0	4 1 0
30.13	42.2	4 0 2
33.79	21.9	6 0 1
28.73	16.1	2 1 1
59.56	14.5	4 2 2
55.07	11.8	8 1 2